Entry 1:
This entry pairs a crystal structure of Pm2Zn2Si3 with its computed powder X-ray diffraction pattern. Radiation: Cu Ka. Structure: DFT lattice parameters and positions (GGA-PBE).

Structural model:
Lattice parameters (Å, degrees): 9.5702 9.5702 6.8874 90.00 90.00 154.51
Atoms (fractional coordinates):
Pm1 0.0491 0.9509 0.7500
Pm2 0.1583 0.8417 0.2500
Pm3 0.8417 0.1583 0.7500
Pm4 0.9509 0.0491 0.2500
Zn1 0.3225 0.6775 0.0657
Zn2 0.3225 0.6775 0.4343
Zn3 0.6775 0.3225 0.5657
Zn4 0.6775 0.3225 0.9343
Si1 0.2169 0.7831 0.7500
Si2 0.4428 0.5572 0.5785
Si3 0.4428 0.5572 0.9215
Si4 0.5572 0.4428 0.0785
Si5 0.5572 0.4428 0.4215
Si6 0.7831 0.2169 0.2500

The 8 most intense peaks (2θ from 5° to 70°), sorted by position:
2θ/deg	d (Å)	I_rel
28.67	3.114	25
31.55	2.836	22
33.93	2.642	70
34.61	2.591	100
42.84	2.111	28
43.95	2.060	32
56.16	1.638	24
63.05	1.474	22

***

Entry 2:
This entry pairs a crystal structure of Pm2Zn6Si3 with its computed powder X-ray diffraction pattern. Radiation: Cu Ka. Structure: DFT lattice parameters and positions (GGA-PBE).

Structural model:
Lattice parameters (Å, degrees): 7.5298 7.5298 4.0577 90.00 90.00 120.00
Atoms (fractional coordinates):
Pm1 0.3333 0.6667 0.0000
Pm2 0.6667 0.3333 0.0000
Zn1 0.0000 0.2959 0.5000
Zn2 0.0000 0.8077 0.0000
Zn3 0.1923 0.1923 0.0000
Zn4 0.2959 0.0000 0.5000
Zn5 0.7041 0.7041 0.5000
Zn6 0.8077 0.0000 0.0000
Si1 0.0000 0.6228 0.5000
Si2 0.3772 0.3772 0.5000
Si3 0.6228 0.0000 0.5000

The 8 most intense peaks (2θ from 5° to 70°), sorted by position:
2θ/deg	d (Å)	I_rel
27.35	3.261	14
32.44	2.760	100
36.45	2.465	23
41.55	2.174	27
42.93	2.107	44
44.66	2.029	20
58.96	1.566	11
62.63	1.483	15

***

Entry 3:
This entry pairs a crystal structure of Pm12ZnSi7 with its computed powder X-ray diffraction pattern. Radiation: Cu Ka. Structure: DFT lattice parameters and positions (GGA-PBE).

Structural model:
Lattice parameters (Å, degrees): 8.9341 8.9341 8.9341 109.37 109.37 109.37
Atoms (fractional coordinates):
Pm1 0.0970 0.3164 0.4023
Pm2 0.1297 0.6545 0.2707
Pm3 0.2707 0.1297 0.6545
Pm4 0.3164 0.4023 0.0970
Pm5 0.3455 0.7293 0.8703
Pm6 0.4023 0.0970 0.3164
Pm7 0.5977 0.9030 0.6836
Pm8 0.6545 0.2707 0.1297
Pm9 0.6836 0.5977 0.9030
Pm10 0.7293 0.8703 0.3455
Pm11 0.8703 0.3455 0.7293
Pm12 0.9030 0.6836 0.5977
Zn1 0.0000 0.0000 0.0000
Si1 0.0235 0.9315 0.2555
Si2 0.0685 0.7445 0.9765
Si3 0.2555 0.0235 0.9315
Si4 0.5000 0.5000 0.5000
Si5 0.7445 0.9765 0.0685
Si6 0.9315 0.2555 0.0235
Si7 0.9765 0.0685 0.7445

The 8 most intense peaks (2θ from 5° to 70°), sorted by position:
2θ/deg	d (Å)	I_rel
27.32	3.264	100
29.85	2.993	18
30.01	2.978	16
32.41	2.763	56
32.49	2.756	36
36.85	2.439	14
44.82	2.022	24
54.79	1.676	13

***

Entry 4:
This entry pairs a crystal structure of Pm3Sm with its computed powder X-ray diffraction pattern. Radiation: Cu Ka. Structure: DFT lattice parameters and positions (GGA-PBE).

Structural model:
Lattice parameters (Å, degrees): 5.1466 5.1466 10.3473 90.00 90.00 90.00
Atoms (fractional coordinates):
Pm1 0.0000 0.0000 0.0000
Pm2 0.0000 0.5000 0.2500
Pm3 0.0000 0.5000 0.7500
Pm4 0.5000 0.0000 0.2500
Pm5 0.5000 0.0000 0.7500
Pm6 0.5000 0.5000 0.5000
Sm1 0.0000 0.0000 0.5000
Sm2 0.5000 0.5000 0.0000

The 8 most intense peaks (2θ from 5° to 70°), sorted by position:
2θ/deg	d (Å)	I_rel
30.02	2.977	100
34.68	2.587	17
34.87	2.573	34
49.99	1.824	24
50.13	1.820	12
59.30	1.558	15
59.55	1.553	29
62.40	1.488	12

***

Entry 5:
This entry pairs a crystal structure of Pm3Sm with its computed powder X-ray diffraction pattern. Radiation: Cu Ka. Structure: DFT lattice parameters and positions (GGA-PBE).

Structural model:
Lattice parameters (Å, degrees): 6.3344 11.8028 7.3192 90.00 90.00 90.00
Atoms (fractional coordinates):
Pm1 0.0835 0.2500 0.1248
Pm2 0.2500 0.9998 0.3750
Pm3 0.2500 0.0002 0.8750
Pm4 0.2500 0.5002 0.3750
Pm5 0.2500 0.4998 0.8750
Pm6 0.4165 0.7500 0.6248
Pm7 0.5835 0.2500 0.3752
Pm8 0.7500 0.9998 0.1250
Pm9 0.7500 0.0002 0.6250
Pm10 0.7500 0.5002 0.1250
Pm11 0.7500 0.4998 0.6250
Pm12 0.9165 0.7500 0.8752
Sm1 0.0834 0.2500 0.6251
Sm2 0.4166 0.7500 0.1251
Sm3 0.5834 0.2500 0.8749
Sm4 0.9166 0.7500 0.3749

The 8 most intense peaks (2θ from 5° to 70°), sorted by position:
2θ/deg	d (Å)	I_rel
29.18	3.060	43
30.29	2.951	35
32.06	2.791	100
36.41	2.468	24
49.85	1.829	26
54.94	1.671	22
59.45	1.555	31
60.51	1.530	16

***

Entry 6:
This entry pairs a crystal structure of PmSm with its computed powder X-ray diffraction pattern. Radiation: Cu Ka. Structure: DFT lattice parameters and positions (GGA-PBE).

Structural model:
Lattice parameters (Å, degrees): 15.8930 3.6352 7.2728 90.00 103.28 90.00
Atoms (fractional coordinates):
Pm1 0.0000 0.0000 0.0000
Pm2 0.1666 0.5000 0.8327
Pm3 0.3334 0.0000 0.1673
Pm4 0.5000 0.5000 0.0000
Pm5 0.6666 0.0000 0.8327
Pm6 0.8334 0.5000 0.1673
Sm1 0.0000 0.0000 0.5000
Sm2 0.1667 0.5000 0.3339
Sm3 0.3333 0.0000 0.6661
Sm4 0.5000 0.5000 0.5000
Sm5 0.6667 0.0000 0.3339
Sm6 0.8333 0.5000 0.6661

The 7 most intense peaks (2θ from 5° to 70°), sorted by position:
2θ/deg	d (Å)	I_rel
30.08	2.971	100
34.87	2.573	51
50.12	1.820	30
50.19	1.818	6
59.49	1.554	14
59.62	1.551	29
62.52	1.486	12

***

Entry 7:
This entry pairs a crystal structure of PmSm4 with its computed powder X-ray diffraction pattern. Radiation: Cu Ka. Structure: DFT lattice parameters and positions (GGA-PBE).

Structural model:
Lattice parameters (Å, degrees): 3.6331 3.6331 25.7157 90.00 90.00 90.00
Atoms (fractional coordinates):
Pm1 0.0000 0.0000 0.0000
Pm2 0.5000 0.5000 0.5000
Sm1 0.0000 0.0000 0.2001
Sm2 0.0000 0.0000 0.3998
Sm3 0.0000 0.0000 0.6002
Sm4 0.0000 0.0000 0.7999
Sm5 0.5000 0.5000 0.1002
Sm6 0.5000 0.5000 0.2999
Sm7 0.5000 0.5000 0.7001
Sm8 0.5000 0.5000 0.8998

The 5 most intense peaks (2θ from 5° to 70°), sorted by position:
2θ/deg	d (Å)	I_rel
30.12	2.967	100
34.91	2.570	51
50.21	1.817	36
59.67	1.550	43
62.61	1.484	12

***

Entry 8:
This entry pairs a crystal structure of Pm3Sm with its computed powder X-ray diffraction pattern. Radiation: Cu Ka. Structure: DFT lattice parameters and positions (GGA-PBE).

Structural model:
Lattice parameters (Å, degrees): 5.1503 5.1503 5.1503 90.00 90.00 90.00
Atoms (fractional coordinates):
Pm1 0.0000 0.0000 0.5000
Pm2 0.0000 0.5000 0.0000
Pm3 0.5000 0.0000 0.0000
Sm1 0.5000 0.5000 0.5000

The 5 most intense peaks (2θ from 5° to 70°), sorted by position:
2θ/deg	d (Å)	I_rel
30.05	2.974	100
34.84	2.575	51
50.10	1.821	36
59.53	1.553	43
62.47	1.487	12

***

Entry 9:
This entry pairs a crystal structure of Pm5Sm4 with its computed powder X-ray diffraction pattern. Radiation: Cu Ka. Structure: DFT lattice parameters and positions (GGA-PBE).

Structural model:
Lattice parameters (Å, degrees): 8.1385 8.1385 8.1385 95.75 95.75 143.09
Atoms (fractional coordinates):
Pm1 0.0000 0.0000 0.0000
Pm2 0.3332 0.3332 0.6665
Pm3 0.3332 0.6668 0.0000
Pm4 0.6668 0.3332 0.0000
Pm5 0.6668 0.6668 0.3335
Sm1 0.0000 0.3338 0.3338
Sm2 0.0000 0.6662 0.6662
Sm3 0.3338 0.0000 0.3338
Sm4 0.6662 0.0000 0.6662

The 5 most intense peaks (2θ from 5° to 70°), sorted by position:
2θ/deg	d (Å)	I_rel
30.06	2.972	100
34.85	2.574	51
50.11	1.820	36
59.55	1.552	43
62.49	1.486	12

***

Entry 10:
This entry pairs a crystal structure of Pm3Sm with its computed powder X-ray diffraction pattern. Radiation: Cu Ka. Structure: DFT lattice parameters and positions (GGA-PBE).

Structural model:
Lattice parameters (Å, degrees): 7.3847 7.3847 5.8648 90.00 90.00 120.00
Atoms (fractional coordinates):
Pm1 0.1667 0.3334 0.2500
Pm2 0.1667 0.8333 0.2500
Pm3 0.3334 0.1667 0.7500
Pm4 0.6666 0.8333 0.2500
Pm5 0.8333 0.1667 0.7500
Pm6 0.8333 0.6666 0.7500
Sm1 0.3333 0.6667 0.7500
Sm2 0.6667 0.3333 0.2500

The 8 most intense peaks (2θ from 5° to 70°), sorted by position:
2θ/deg	d (Å)	I_rel
27.90	3.198	24
30.48	2.932	25
31.88	2.807	100
41.80	2.161	16
49.36	1.846	20
55.06	1.668	21
59.13	1.562	23
59.97	1.543	16

***

Entry 11:
This entry pairs a crystal structure of Pm5Sm6 with its computed powder X-ray diffraction pattern. Radiation: Cu Ka. Structure: DFT lattice parameters and positions (GGA-PBE).

Structural model:
Lattice parameters (Å, degrees): 9.5020 9.5020 9.5020 145.20 128.26 63.87
Atoms (fractional coordinates):
Pm1 0.0000 0.0000 0.0000
Pm2 0.1614 0.6614 0.5000
Pm3 0.2997 0.2997 0.0000
Pm4 0.7003 0.7003 0.0000
Pm5 0.8386 0.3386 0.5000
Sm1 0.1582 0.8636 0.2947
Sm2 0.2939 0.5000 0.7939
Sm3 0.4311 0.1364 0.2947
Sm4 0.5689 0.8636 0.7053
Sm5 0.7061 0.5000 0.2061
Sm6 0.8418 0.1364 0.7053

The 8 most intense peaks (2θ from 5° to 70°), sorted by position:
2θ/deg	d (Å)	I_rel
29.22	3.057	21
31.47	2.843	100
31.90	2.805	12
32.88	2.724	9
33.33	2.688	10
56.05	1.641	14
61.75	1.502	9
62.75	1.481	9

***

Entry 12:
This entry pairs a crystal structure of Pm4Sm with its computed powder X-ray diffraction pattern. Radiation: Cu Ka. Structure: DFT lattice parameters and positions (GGA-PBE).

Structural model:
Lattice parameters (Å, degrees): 3.6452 3.6452 44.5779 90.00 90.00 120.00
Atoms (fractional coordinates):
Pm1 0.0000 0.0000 0.1002
Pm2 0.0000 0.0000 0.3000
Pm3 0.0000 0.0000 0.7000
Pm4 0.0000 0.0000 0.8998
Pm5 0.3333 0.6667 0.3667
Pm6 0.3333 0.6667 0.5665
Pm7 0.3333 0.6667 0.7669
Pm8 0.3333 0.6667 0.9666
Pm9 0.6667 0.3333 0.0334
Pm10 0.6667 0.3333 0.2331
Pm11 0.6667 0.3333 0.4335
Pm12 0.6667 0.3333 0.6333
Sm1 0.0000 0.0000 0.5000
Sm2 0.3333 0.6667 0.1667
Sm3 0.6667 0.3333 0.8333

The 5 most intense peaks (2θ from 5° to 70°), sorted by position:
2θ/deg	d (Å)	I_rel
30.04	2.975	100
34.82	2.576	51
50.07	1.822	36
59.50	1.554	43
62.44	1.487	12

***

Entry 13:
This entry pairs a crystal structure of PmSm4 with its computed powder X-ray diffraction pattern. Radiation: Cu Ka. Structure: DFT lattice parameters and positions (GGA-PBE).

Structural model:
Lattice parameters (Å, degrees): 6.2945 3.6307 14.9484 90.00 98.01 90.00
Atoms (fractional coordinates):
Pm1 0.0000 0.0000 0.0000
Pm2 0.5000 0.5000 0.0000
Sm1 0.1003 0.5000 0.7994
Sm2 0.1995 0.0000 0.5998
Sm3 0.3005 0.5000 0.4002
Sm4 0.3997 0.0000 0.2006
Sm5 0.6003 0.0000 0.7994
Sm6 0.6995 0.5000 0.5998
Sm7 0.8005 0.0000 0.4002
Sm8 0.8997 0.5000 0.2006

The 7 most intense peaks (2θ from 5° to 70°), sorted by position:
2θ/deg	d (Å)	I_rel
30.15	2.964	100
34.95	2.567	51
50.27	1.815	36
59.73	1.548	40
59.81	1.546	4
62.66	1.483	9
62.77	1.480	3

***

Entry 14:
This entry pairs a crystal structure of Pm5Sm with its computed powder X-ray diffraction pattern. Radiation: Cu Ka. Structure: DFT lattice parameters and positions (GGA-PBE).

Structural model:
Lattice parameters (Å, degrees): 5.1640 10.9251 7.2912 90.00 90.00 90.00
Atoms (fractional coordinates):
Pm1 0.2500 0.0833 0.1248
Pm2 0.2500 0.0835 0.6253
Pm3 0.2500 0.4165 0.6253
Pm4 0.2500 0.4167 0.1248
Pm5 0.2500 0.7500 0.6251
Pm6 0.7500 0.2500 0.3749
Pm7 0.7500 0.5833 0.8752
Pm8 0.7500 0.5835 0.3747
Pm9 0.7500 0.9165 0.3747
Pm10 0.7500 0.9167 0.8752
Sm1 0.2500 0.7500 0.1246
Sm2 0.7500 0.2500 0.8754

The 6 most intense peaks (2θ from 5° to 70°), sorted by position:
2θ/deg	d (Å)	I_rel
30.01	2.977	100
34.80	2.578	51
50.03	1.823	36
59.42	1.555	29
59.50	1.554	14
62.38	1.489	12